Diffraction record for PrSiAs3. The powder diffractogram is computed, not measured: it uses a cell relaxed with GGA-PBE and Cu Ka.
Lines closer than 0.1° are merged.

Top 10 peaks for 10° ≤ 2θ ≤ 90°, by intensity:
d [Å]  2theta  intensity  hkl
2.620  34.2  100.0  1 8 1
2.117  42.7  93.3  2 0 2
2.668  33.6  67.5  0 10 0
2.745  32.6  63.9  2 4 0
2.718  33.0  63.2  0 4 2
2.976  30.0  59.0  0 0 2
2.474  36.3  58.1  0 6 2
2.494  36.0  53.7  2 6 0
3.012  29.7  51.9  2 0 0
4.036  22.0  51.3  1 2 1

Atomic structure:
Cell lengths 6.023, 26.683, 5.953 Å; angles 90.00, 90.00, 90.00 degrees
Element x y z (fractional)
Pr: 0.021 0.090 0.000
Pr: 0.022 0.405 0.499
Pr: 0.478 0.905 0.999
Pr: 0.479 0.590 0.500
Pr: 0.521 0.410 0.000
Pr: 0.522 0.095 0.499
Pr: 0.978 0.595 0.999
Pr: 0.979 0.910 0.500
Si: 0.056 0.794 0.078
Si: 0.115 0.292 0.077
Si: 0.385 0.792 0.577
Si: 0.444 0.294 0.578
Si: 0.556 0.706 0.078
Si: 0.615 0.208 0.077
Si: 0.885 0.708 0.577
Si: 0.944 0.206 0.578
As: 0.007 0.791 0.475
As: 0.016 0.375 0.996
As: 0.027 0.122 0.496
As: 0.068 0.287 0.474
As: 0.209 0.502 0.224
As: 0.213 0.502 0.788
As: 0.287 0.002 0.288
As: 0.291 0.002 0.724
As: 0.432 0.787 0.974
As: 0.473 0.622 0.996
As: 0.484 0.875 0.496
As: 0.493 0.291 0.975
As: 0.507 0.709 0.475
As: 0.516 0.125 0.996
As: 0.527 0.378 0.496
As: 0.568 0.213 0.474
As: 0.709 0.998 0.224
As: 0.713 0.998 0.788
As: 0.787 0.498 0.288
As: 0.791 0.498 0.724
As: 0.932 0.713 0.974
As: 0.973 0.878 0.996
As: 0.984 0.625 0.496
As: 0.993 0.209 0.975